Structure and computed powder diffractogram of LiP2WO8 (a DFT-relaxed cell (PBE+U, Alexandria); Cu Kα X-rays).
Lines closer than 0.1° are merged.

Largest 10 diffraction maxima, low angle first, 2θ from 5° to 70°:
hkl, 2theta, d/Å, intensity
0 1 1, 11.01, 8.033, 33
0 2 1, 17.48, 5.075, 100
1 1 0, 18.81, 4.718, 15
1 1 1, 20.37, 4.359, 15
1 0 2, 23.18, 3.837, 79
1 2 1, 24.52, 3.630, 26
0 3 1, 24.85, 3.583, 23
1 3 1, 30.31, 2.949, 14
1 2 3, 33.24, 2.695, 35
0 5 2, 42.99, 2.104, 16

Cell and atoms:
```
LiP2WO8
1.0
5.189 0.000 0.000
0.000 11.324 0.000
0.000 0.000 11.397
Li P W O
4 8 4 32
direct
0.203 0.241 0.091
0.297 0.759 0.591
0.703 0.259 0.909
0.797 0.741 0.409
0.205 0.602 0.956
0.242 0.629 0.339
0.258 0.371 0.839
0.295 0.398 0.456
0.705 0.898 0.044
0.742 0.871 0.661
0.758 0.129 0.161
0.795 0.102 0.544
0.228 0.903 0.850
0.272 0.097 0.350
0.728 0.597 0.150
0.772 0.403 0.650
0.022 0.841 0.700
0.046 0.657 0.243
0.068 0.070 0.502
0.101 0.420 0.554
0.165 0.688 0.452
0.221 0.723 0.902
0.232 0.487 0.350
0.245 0.050 0.803
0.255 0.950 0.303
0.268 0.513 0.850
0.279 0.277 0.402
0.335 0.312 0.952
0.399 0.580 0.054
0.432 0.930 0.002
0.454 0.343 0.743
0.478 0.159 0.200
0.522 0.659 0.300
0.546 0.843 0.757
0.568 0.430 0.498
0.601 0.080 0.446
0.665 0.812 0.548
0.721 0.777 0.098
0.732 0.013 0.650
0.745 0.450 0.197
0.755 0.550 0.697
0.768 0.987 0.150
0.779 0.223 0.598
0.835 0.188 0.048
0.899 0.920 0.946
0.932 0.570 0.998
0.954 0.157 0.257
0.978 0.341 0.800
```